Simulated X-ray diffraction stick pattern
Compound: Sr2CeZn2O6
Radiation: λ = 1.5418 Å (Cu Kα)
Structure: a structure optimized by DFT (PBE)
No peak broadening, texture or thermal motion is included.

The 12 most intense peaks (2θ from 10° to 90°), in order of rising 2θ:
d (Å)	2θ (°)	I_rel
5.897	15.02	19.3
3.763	23.64	51.7
2.948	30.31	26.6
2.822	31.71	85.8
2.258	39.93	13.8
2.039	44.44	100.0
1.763	51.87	12.7
1.629	56.48	28.2
1.426	65.45	19.2
1.307	72.31	18.2
1.273	74.56	20.0
1.093	89.70	12.7

Unit cell a=5.644 b=5.644 c=5.897 alpha=90.00 beta=90.00 gamma=120.00
Sites, in units of the cell vectors:
Sr  0.333  0.667  0.000
Sr  0.667  0.333  0.000
Ce  0.000  0.000  0.500
Zn  0.333  0.667  0.500
Zn  0.667  0.333  0.500
O  0.000  0.348  0.706
O  0.000  0.652  0.294
O  0.348  0.000  0.706
O  0.348  0.348  0.294
O  0.652  0.000  0.294
O  0.652  0.652  0.706



Simulated X-ray diffraction stick pattern
Compound: CeTa4O12
Radiation: λ = 1.5418 Å (Cu Kα)
Structure: a structure optimized by DFT (PBE)
No peak broadening, texture or thermal motion is included.

The 12 most intense peaks (2θ from 10° to 90°), in order of rising 2θ:
d (Å)	2θ (°)	I_rel
5.505	16.10	20.0
3.942	22.56	82.1
3.846	23.13	35.9
2.787	32.11	49.7
2.753	32.53	100.0
2.257	39.95	16.3
1.971	46.05	31.5
1.763	51.86	16.4
1.754	52.15	16.8
1.728	52.99	16.1
1.603	57.51	43.2
1.583	58.30	23.2

Unit cell a=6.772 b=6.772 c=6.772 alpha=108.81 beta=108.81 gamma=110.80
Sites, in units of the cell vectors:
Ce  0.000  0.000  0.000
Ta  0.000  0.000  0.500
Ta  0.000  0.500  0.000
Ta  0.500  0.000  0.000
Ta  0.500  0.500  0.500
O  0.041  0.802  0.239
O  0.198  0.437  0.239
O  0.198  0.959  0.761
O  0.283  0.283  0.567
O  0.283  0.717  0.000
O  0.437  0.198  0.239
O  0.563  0.802  0.761
O  0.717  0.283  0.000
O  0.717  0.717  0.433
O  0.802  0.041  0.239
O  0.802  0.563  0.761
O  0.959  0.198  0.761



Simulated X-ray diffraction stick pattern
Compound: CeTa2O6
Radiation: λ = 1.5418 Å (Cu Kα)
Structure: a structure optimized by DFT (PBE)
No peak broadening, texture or thermal motion is included.

The 12 most intense peaks (2θ from 10° to 90°), in order of rising 2θ:
d (Å)	2θ (°)	I_rel
3.305	26.98	100.0
3.058	29.20	18.5
2.687	33.35	57.1
2.556	35.11	12.1
2.347	38.35	11.1
2.085	43.40	25.3
1.768	51.71	47.8
1.721	53.24	11.2
1.647	55.81	22.2
1.551	59.60	14.6
1.483	62.63	9.6
1.294	73.12	9.8

Unit cell a=9.307 b=9.307 c=4.695 alpha=90.00 beta=90.00 gamma=120.00
Sites, in units of the cell vectors:
Ce  0.000  0.000  0.000
Ce  0.333  0.667  0.492
Ce  0.667  0.333  0.508
Ta  0.000  0.312  0.500
Ta  0.000  0.646  0.000
Ta  0.312  0.000  0.500
Ta  0.354  0.354  0.000
Ta  0.646  0.000  0.000
Ta  0.688  0.688  0.500
O  0.079  0.527  0.747
O  0.120  0.866  0.755
O  0.134  0.254  0.755
O  0.197  0.786  0.249
O  0.214  0.411  0.249
O  0.254  0.134  0.245
O  0.411  0.214  0.751
O  0.448  0.921  0.747
O  0.473  0.552  0.747
O  0.527  0.079  0.253
O  0.552  0.473  0.253
O  0.589  0.803  0.249
O  0.746  0.880  0.755
O  0.786  0.197  0.751
O  0.803  0.589  0.751
O  0.866  0.120  0.245
O  0.880  0.746  0.245
O  0.921  0.448  0.253



Simulated X-ray diffraction stick pattern
Compound: CeTaTiO6
Radiation: λ = 1.5418 Å (Cu Kα)
Structure: a structure optimized by DFT (PBE)
No peak broadening, texture or thermal motion is included.

The 12 most intense peaks (2θ from 10° to 90°), in order of rising 2θ:
d (Å)	2θ (°)	I_rel
4.488	19.78	45.2
4.072	21.83	43.2
3.130	28.52	25.5
3.055	29.24	76.4
2.978	30.00	100.0
2.832	31.59	16.3
2.680	33.43	25.9
2.300	39.17	24.2
1.987	45.66	18.4
1.891	48.12	19.0
1.720	53.24	21.6
1.608	57.30	24.4

Unit cell a=11.151 b=5.361 c=7.564 alpha=90.00 beta=90.00 gamma=90.00
Sites, in units of the cell vectors:
Ce  0.043  0.046  0.000
Ce  0.457  0.546  0.500
Ce  0.543  0.454  0.000
Ce  0.957  0.954  0.500
Ta  0.145  0.541  0.257
Ta  0.355  0.041  0.757
Ta  0.645  0.959  0.257
Ta  0.855  0.459  0.757
Ti  0.141  0.536  0.745
Ti  0.359  0.036  0.245
Ti  0.641  0.964  0.745
Ti  0.859  0.464  0.245
O  0.024  0.266  0.712
O  0.028  0.263  0.290
O  0.119  0.661  0.502
O  0.143  0.449  0.001
O  0.209  0.873  0.811
O  0.214  0.875  0.191
O  0.286  0.375  0.691
O  0.291  0.373  0.311
O  0.357  0.949  0.501
O  0.381  0.161  0.002
O  0.472  0.763  0.790
O  0.476  0.766  0.212
O  0.524  0.234  0.712
O  0.528  0.237  0.290
O  0.619  0.839  0.502
O  0.643  0.051  0.001
O  0.709  0.627  0.811
O  0.714  0.625  0.191
O  0.786  0.125  0.691
O  0.791  0.127  0.311
O  0.857  0.551  0.501
O  0.881  0.339  0.002
O  0.972  0.737  0.790
O  0.976  0.734  0.212



Simulated X-ray diffraction stick pattern
Compound: Ce3TeO3
Radiation: λ = 1.5418 Å (Cu Kα)
Structure: a structure optimized by DFT (PBE)
No peak broadening, texture or thermal motion is included.

The 12 most intense peaks (2θ from 10° to 90°), in order of rising 2θ:
d (Å)	2θ (°)	I_rel
3.685	24.15	13.1
3.163	28.21	100.0
3.006	29.72	36.2
2.984	29.94	31.1
2.902	30.81	16.6
2.802	31.93	18.4
2.714	33.01	46.8
2.570	34.91	22.5
2.006	45.21	22.7
1.872	48.64	16.3
1.712	53.53	17.5
1.668	55.04	13.1

Unit cell a=8.957 b=4.011 c=9.019 alpha=90.00 beta=110.18 gamma=90.00
Sites, in units of the cell vectors:
Ce  0.058  0.250  0.194
Ce  0.297  0.750  0.567
Ce  0.310  0.250  0.920
Ce  0.690  0.750  0.080
Ce  0.703  0.250  0.433
Ce  0.942  0.750  0.806
Te  0.395  0.750  0.234
Te  0.605  0.250  0.766
O  0.058  0.250  0.919
O  0.187  0.250  0.463
O  0.205  0.750  0.780
O  0.795  0.250  0.220
O  0.813  0.750  0.537
O  0.942  0.750  0.081



Simulated X-ray diffraction stick pattern
Compound: Ce2TeO
Radiation: λ = 1.5418 Å (Cu Kα)
Structure: a structure optimized by DFT (PBE)
No peak broadening, texture or thermal motion is included.

The 12 most intense peaks (2θ from 10° to 90°), in order of rising 2θ:
d (Å)	2θ (°)	I_rel
3.315	26.90	23.1
3.197	27.91	15.5
2.826	31.66	100.0
2.620	34.23	48.5
2.328	38.68	19.3
2.065	43.85	18.6
1.938	46.88	41.4
1.598	57.67	17.6
1.558	59.31	10.1
1.489	62.34	28.9
1.453	64.10	13.2
1.233	77.39	14.6

Unit cell a=3.876 b=3.876 c=20.949 alpha=90.00 beta=90.00 gamma=120.00
Sites, in units of the cell vectors:
Ce  0.000  0.000  0.227
Ce  0.000  0.000  0.773
Ce  0.333  0.667  0.439
Ce  0.333  0.667  0.894
Ce  0.667  0.333  0.106
Ce  0.667  0.333  0.561
Te  0.000  0.000  0.000
Te  0.333  0.667  0.667
Te  0.667  0.333  0.333
O  0.000  0.000  0.500
O  0.333  0.667  0.167
O  0.667  0.333  0.833



Simulated X-ray diffraction stick pattern
Compound: Ce5Te5O
Radiation: λ = 1.5418 Å (Cu Kα)
Structure: a structure optimized by DFT (PBE)
No peak broadening, texture or thermal motion is included.

The 12 most intense peaks (2θ from 10° to 90°), in order of rising 2θ:
d (Å)	2θ (°)	I_rel
3.089	28.90	100.0
3.057	29.22	91.5
2.982	29.96	65.8
2.929	30.52	40.0
2.573	34.87	36.4
2.173	41.57	70.1
2.144	42.14	74.6
2.128	42.49	24.0
1.760	51.96	25.4
1.752	52.21	35.0
1.491	62.28	18.6
1.371	68.45	25.6

Unit cell a=7.454 b=7.454 c=8.569 alpha=107.97 beta=107.97 gamma=48.96
Sites, in units of the cell vectors:
Ce  0.000  0.000  0.000
Ce  0.344  0.344  0.144
Ce  0.362  0.362  0.724
Ce  0.638  0.638  0.276
Ce  0.656  0.656  0.856
Te  0.153  0.153  0.802
Te  0.179  0.179  0.343
Te  0.500  0.500  0.500
Te  0.821  0.821  0.657
Te  0.847  0.847  0.198
O  0.500  0.500  0.000



Simulated X-ray diffraction stick pattern
Compound: CeTmTeO2
Radiation: λ = 1.5418 Å (Cu Kα)
Structure: a structure optimized by DFT (PBE)
No peak broadening, texture or thermal motion is included.

The 12 most intense peaks (2θ from 10° to 90°), in order of rising 2θ:
d (Å)	2θ (°)	I_rel
2.879	31.06	100.0
2.798	31.98	39.7
2.099	43.11	8.5
1.979	45.86	19.8
1.679	54.67	22.1
1.631	56.42	36.8
1.440	64.75	10.4
1.399	66.87	6.2
1.319	71.53	8.2
1.258	75.55	8.0
1.251	76.05	6.9
1.098	89.24	9.5

Unit cell a=3.958 b=3.958 c=12.591 alpha=90.00 beta=90.00 gamma=90.00
Sites, in units of the cell vectors:
Ce  0.000  0.000  0.000
Ce  0.500  0.500  0.500
Tm  0.000  0.000  0.319
Tm  0.500  0.500  0.819
Te  0.000  0.000  0.658
Te  0.500  0.500  0.158
O  0.000  0.500  0.400
O  0.000  0.500  0.900
O  0.500  0.000  0.400
O  0.500  0.000  0.900



Simulated X-ray diffraction stick pattern
Compound: Ce4ThO10
Radiation: λ = 1.5418 Å (Cu Kα)
Structure: a structure optimized by DFT (PBE)
No peak broadening, texture or thermal motion is included.

The 12 most intense peaks (2θ from 10° to 90°), in order of rising 2θ:
d (Å)	2θ (°)	I_rel
6.345	13.96	1.3
3.173	28.12	100.0
2.748	32.58	31.2
1.943	46.74	53.5
1.657	55.44	45.5
1.587	58.14	9.0
1.374	68.25	8.2
1.261	75.38	18.4
1.229	77.69	10.3
1.229	77.74	2.1
1.122	86.80	15.6
1.121	86.86	1.4

Unit cell a=16.019 b=16.019 c=6.729 alpha=94.04 beta=94.04 gamma=13.95
Sites, in units of the cell vectors:
Ce  0.000  0.000  0.000
Ce  0.100  0.100  0.700
Ce  0.201  0.201  0.401
Ce  0.299  0.299  0.101
Ce  0.500  0.500  0.500
Ce  0.701  0.701  0.899
Ce  0.799  0.799  0.599
Ce  0.900  0.900  0.300
Th  0.400  0.400  0.800
Th  0.600  0.600  0.200
O  0.025  0.025  0.674
O  0.075  0.075  0.021
O  0.126  0.126  0.379
O  0.176  0.176  0.726
O  0.225  0.225  0.075
O  0.275  0.275  0.425
O  0.324  0.324  0.775
O  0.374  0.374  0.128
O  0.425  0.425  0.471
O  0.476  0.476  0.825
O  0.524  0.524  0.175
O  0.575  0.575  0.529
O  0.626  0.626  0.872
O  0.676  0.676  0.225
O  0.725  0.725  0.575
O  0.775  0.775  0.925
O  0.824  0.824  0.274
O  0.874  0.874  0.621
O  0.925  0.925  0.979
O  0.975  0.975  0.326



Simulated X-ray diffraction stick pattern
Compound: Ce2ThO6
Radiation: λ = 1.5418 Å (Cu Kα)
Structure: a structure optimized by DFT (PBE)
No peak broadening, texture or thermal motion is included.

The 12 most intense peaks (2θ from 10° to 90°), in order of rising 2θ:
d (Å)	2θ (°)	I_rel
8.274	10.69	4.8
3.798	23.42	4.3
3.186	28.01	100.0
2.759	32.45	32.4
2.618	34.25	1.5
1.951	46.55	52.7
1.664	55.21	46.0
1.593	57.89	9.4
1.380	67.95	8.1
1.266	75.03	18.6
1.234	77.33	12.8
1.126	86.38	16.9

Unit cell a=8.722 b=8.722 c=8.722 alpha=154.14 beta=154.14 gamma=36.89
Sites, in units of the cell vectors:
Ce  0.168  0.168  0.000
Ce  0.832  0.832  0.000
Th  0.500  0.500  0.000
O  0.085  0.585  0.500
O  0.250  0.750  0.500
O  0.415  0.915  0.500
O  0.585  0.085  0.500
O  0.750  0.250  0.500
O  0.915  0.415  0.500



Simulated X-ray diffraction stick pattern
Compound: Ce2Th3O9
Radiation: λ = 1.5418 Å (Cu Kα)
Structure: a structure optimized by DFT (PBE)
No peak broadening, texture or thermal motion is included.

The 12 most intense peaks (2θ from 10° to 90°), in order of rising 2θ:
d (Å)	2θ (°)	I_rel
3.645	24.42	2.6
3.232	27.60	100.0
2.799	31.97	36.1
1.979	45.84	50.0
1.688	54.35	46.8
1.616	56.98	10.4
1.400	66.81	5.3
1.398	66.93	2.5
1.284	73.77	19.0
1.253	75.97	4.9
1.252	76.05	9.3
1.143	84.85	16.2

Unit cell a=14.259 b=14.259 c=14.259 alpha=164.03 beta=164.03 gamma=22.65
Sites, in units of the cell vectors:
Ce  0.197  0.197  0.000
Ce  0.803  0.803  0.000
Th  0.000  0.000  0.000
Th  0.399  0.399  0.000
Th  0.601  0.601  0.000
O  0.053  0.553  0.500
O  0.156  0.656  0.500
O  0.344  0.844  0.500
O  0.447  0.947  0.500
O  0.548  0.048  0.500
O  0.647  0.147  0.500
O  0.750  0.250  0.500
O  0.853  0.353  0.500
O  0.952  0.452  0.500